Record 1
Starting from a crystal structure in Alexandria, relaxed with PBE, the powder XRD pattern of Ac2Pm12Sm5 was simulated for copper Kα.
Lines closer than 0.1° are merged.

Structure:
Cell lengths 10.971, 10.971, 6.331 Å; angles 101.37, 101.37, 65.49 degrees
Fractional positions:
Ac (0.223, 0.777, 0.000)
Ac (0.777, 0.223, 0.000)
Pm (0.052, 0.542, 0.795)
Pm (0.129, 0.129, 0.987)
Pm (0.145, 0.646, 0.394)
Pm (0.354, 0.855, 0.606)
Pm (0.440, 0.440, 0.715)
Pm (0.458, 0.948, 0.205)
Pm (0.542, 0.052, 0.795)
Pm (0.560, 0.560, 0.285)
Pm (0.646, 0.145, 0.394)
Pm (0.855, 0.354, 0.606)
Pm (0.871, 0.871, 0.013)
Pm (0.948, 0.458, 0.205)
Sm (0.000, 0.000, 0.500)
Sm (0.216, 0.216, 0.541)
Sm (0.328, 0.328, 0.141)
Sm (0.672, 0.672, 0.859)
Sm (0.784, 0.784, 0.459)

Peak list (10 most intense, 2θ = 10–90°, low angle first)
- 26.7 deg, I = 23
- 29.3 deg, I = 20
- 30.0 deg, I = 25
- 30.1 deg, I = 55
- 31.2 deg, I = 100
- 32.2 deg, I = 53
- 33.7 deg, I = 16
- 34.4 deg, I = 18
- 43.0 deg, I = 18
- 54.2 deg, I = 18

Record 2
Starting from a crystal structure in Alexandria, relaxed with PBE, the powder XRD pattern of MnTc5 was simulated for copper Kα.
Lines closer than 0.1° are merged.

Structure:
Cell lengths 5.150, 5.150, 6.403 Å; angles 103.84, 103.84, 30.82 degrees
Fractional positions:
Mn (0.000, 0.000, 0.000)
Tc (0.055, 0.055, 0.612)
Tc (0.339, 0.339, 0.671)
Tc (0.393, 0.393, 0.266)
Tc (0.665, 0.665, 0.326)
Tc (0.717, 0.717, 0.943)

Peak list (10 most intense, 2θ = 10–90°, low angle first)
- 38.0 deg, I = 23
- 38.2 deg, I = 13
- 41.4 deg, I = 37
- 43.5 deg, I = 100
- 43.6 deg, I = 24
- 43.8 deg, I = 23
- 57.4 deg, I = 11
- 69.0 deg, I = 16
- 83.4 deg, I = 9
- 83.6 deg, I = 9

Record 3
Starting from a crystal structure in Alexandria, relaxed with PBE, the powder XRD pattern of Pr4MnS7 was simulated for copper Kα.
Lines closer than 0.1° are merged.

Structure:
Cell lengths 9.871, 9.871, 7.133 Å; angles 90.00, 90.00, 120.00 degrees
Fractional positions:
Pr (0.179, 0.378, 0.000)
Pr (0.199, 0.821, 0.000)
Pr (0.333, 0.667, 0.454)
Pr (0.378, 0.199, 0.500)
Pr (0.622, 0.801, 0.000)
Pr (0.667, 0.333, 0.954)
Pr (0.801, 0.179, 0.500)
Pr (0.821, 0.622, 0.500)
Mn (0.000, 0.000, 0.236)
Mn (0.000, 0.000, 0.736)
S (0.073, 0.544, 0.235)
S (0.121, 0.251, 0.604)
S (0.130, 0.879, 0.604)
S (0.251, 0.130, 0.104)
S (0.333, 0.667, 0.833)
S (0.456, 0.529, 0.235)
S (0.471, 0.927, 0.235)
S (0.529, 0.073, 0.735)
S (0.544, 0.471, 0.735)
S (0.667, 0.333, 0.333)
S (0.749, 0.870, 0.604)
S (0.870, 0.121, 0.104)
S (0.879, 0.749, 0.104)
S (0.927, 0.456, 0.735)

Peak list (10 most intense, 2θ = 10–90°, low angle first)
- 20.8 deg, I = 16
- 24.3 deg, I = 100
- 25.0 deg, I = 16
- 30.4 deg, I = 13
- 32.7 deg, I = 48
- 33.9 deg, I = 22
- 36.4 deg, I = 47
- 43.6 deg, I = 34
- 44.2 deg, I = 18
- 44.7 deg, I = 16

Record 4
Starting from a crystal structure in Alexandria, relaxed with PBE, the powder XRD pattern of Sr5Pt3 was simulated for copper Kα.
Lines closer than 0.1° are merged.

Structure:
Cell lengths 8.960, 8.960, 7.002 Å; angles 90.00, 90.00, 120.00 degrees
Fractional positions:
Sr (0.000, 0.263, 0.250)
Sr (0.000, 0.737, 0.750)
Sr (0.263, 0.000, 0.250)
Sr (0.263, 0.263, 0.750)
Sr (0.333, 0.667, 0.000)
Sr (0.333, 0.667, 0.500)
Sr (0.667, 0.333, 0.000)
Sr (0.667, 0.333, 0.500)
Sr (0.737, 0.000, 0.750)
Sr (0.737, 0.737, 0.250)
Pt (0.000, 0.390, 0.750)
Pt (0.000, 0.610, 0.250)
Pt (0.390, 0.000, 0.750)
Pt (0.390, 0.390, 0.250)
Pt (0.610, 0.000, 0.250)
Pt (0.610, 0.610, 0.750)

Peak list (10 most intense, 2θ = 10–90°, low angle first)
- 11.4 deg, I = 27
- 23.6 deg, I = 44
- 25.4 deg, I = 46
- 32.5 deg, I = 99
- 33.1 deg, I = 100
- 34.7 deg, I = 68
- 44.0 deg, I = 44
- 49.9 deg, I = 32
- 64.3 deg, I = 23
- 65.0 deg, I = 21